Entry 1:
Starting from a crystal structure in the Materials Project, relaxed with GGA-PBE, the X-ray powder pattern of RbTh2F9 was calculated for Cu Ka.

Structure:
```
data_RbTh2F9
_chemical_formula_sum 'Rb4 Th8 F36'
_symmetry_space_group_name_H-M 'P n m a'
_symmetry_Int_Tables_number 62
_cell_length_a 8.979
_cell_length_b 12.020
_cell_length_c 7.263
_cell_angle_alpha 90.00
_cell_angle_beta 90.00
_cell_angle_gamma 90.00
loop_
_symmetry_equiv_pos_as_xyz
'x,y,z'
'-x,-y,-z'
'-x+1/2,-y,z+1/2'
'x+1/2,y,-z+1/2'
'x+1/2,-y+1/2,-z+1/2'
'-x+1/2,y+1/2,z+1/2'
'-x,y+1/2,-z'
'x,-y+1/2,z'
loop_
_atom_site_label
_atom_site_fract_x
_atom_site_fract_y
_atom_site_fract_z
Rb1 0.034 0.250 0.139
Th1 0.175 0.051 0.652
F1 0.006 0.596 0.574
F2 0.063 0.579 0.196
F3 0.178 0.250 0.661
F4 0.214 0.093 0.967
F5 0.221 0.603 0.852
```

Largest 10 diffraction maxima, sorted by position, 2θ = 15–90°:
(hkl)	2θ (°)	I/Imax
1 2 1	21.6	52
2 0 1	23.3	74
2 2 0	24.8	64
0 3 1	25.4	100
1 0 2	26.5	100
2 2 1	27.7	76
1 2 2	30.4	68
1 3 3	44.9	76
3 3 2	45.3	84
4 3 0	46.4	56

=====

Entry 2:
Starting from a crystal structure in the Materials Project, relaxed with GGA-PBE, the X-ray powder pattern of GdCo2 was calculated for Cu Ka.

Structure:
Cell: 7.235 7.235 7.235 Å, 90.00 90.00 90.00°
Space group Fd-3m (No. 227, origin choice 2)
Unique sites:
Gd 0.125 0.125 0.125
Co 0.000 0.000 0.500

Largest 10 diffraction maxima, sorted by position, 2θ = 15–90°:
(hkl)	2θ (°)	I/Imax
1 1 1	21.3	13
2 2 0	35.1	65
3 1 1	41.4	100
2 2 2	43.3	15
4 2 2	62.9	24
5 1 1	67.2	30
4 4 0	74.1	22
6 2 0	84.7	11
5 3 3	88.6	11
6 2 2	89.9	5